Computed PXRD pattern
Compound: Tb8Dy5Er
Radiation: a wavelength of 1.5418 Å
Structure: a structure optimized by DFT (PBE)

Largest 10 diffraction maxima, in order of rising 2θ, 10 to 90 degrees two-theta:
Position (°2θ)  I (rel.)  hkl
28.20  62.7  1 0 3
29.49  69.6  3 0 1
29.65  79.7  1 3 0
31.97  23.3  2 2 2
34.01  100.0  2 1 3
34.70  48.7  1 3 2
35.11  54.6  3 2 1
55.45  18.2  5 0 3
56.60  17.0  4 2 4
63.47  21.9  1 3 6

Structure:
```
data_Tb8Dy5Er
_space_group_name_H-M_alt 'I -4'
_space_group_IT_number 82
_cell_length_a 9.529
_cell_length_b 9.529
_cell_length_c 10.064
_cell_angle_alpha 90.00
_cell_angle_beta 90.00
_cell_angle_gamma 90.00
loop_
_space_group_symop_operation_xyz
'x,y,z'
'y,-x,-z'
'-x,-y,z'
'-y,x,-z'
'x+1/2,y+1/2,z+1/2'
'y+1/2,-x+1/2,-z+1/2'
'-x+1/2,-y+1/2,z+1/2'
'-y+1/2,x+1/2,-z+1/2'
loop_
_atom_site_label
_atom_site_fract_x
_atom_site_fract_y
_atom_site_fract_z
Tb1 0.070 0.176 0.155
Tb2 0.088 0.325 0.497
Dy1 0.000 0.500 0.250
Dy2 0.109 0.290 0.825
Er1 0.000 0.000 0.500
```